[1]
Theoretical X-ray diffraction stick pattern of Rb3Pu2CoSe6 for Cu Kα, from a cell relaxed with GGA-PBE.

Largest 10 diffraction maxima, by intensity, 2θ = 10–90°:
2θ/deg, I/Imax
28.99, 1000
11.19, 426
43.50, 361
39.35, 315
53.13, 181
36.39, 163
71.01, 147
25.84, 100
60.08, 98
45.79, 94

Structure:
```
Rb3Pu2CoSe6
1.0
3.6037 -6.2406 0.0000
3.6037 6.2406 0.0000
-2.4107 0.0000 7.9078
Rb Pu Co Se
3 2 1 6
Cartesian
0.0000 0.0000 0.0000
3.6037 2.1072 0.0000
3.6037 -2.1072 0.0000
2.3983 4.1631 3.9539
2.3983 -4.1631 3.9539
2.3983 0.0000 3.9539
1.2598 1.9734 2.4896
0.1130 0.0000 5.4302
1.2598 -1.9734 2.4896
3.5368 1.9734 5.4182
4.6836 0.0000 2.4776
3.5368 -1.9734 5.4182
```


[2]
Theoretical X-ray diffraction stick pattern of Pu2Co3Rh for Cu Kα, from a cell relaxed with GGA-PBE.

Largest 10 diffraction maxima, by intensity, 2θ = 10–90°:
2θ/deg, I/Imax
41.56, 1000
35.70, 838
34.53, 628
40.55, 607
42.06, 352
21.52, 293
67.41, 272
68.13, 232
72.83, 228
20.59, 228

Structure:
```
Pu2Co3Rh
1.0
2.5152 1.4522 4.3132
-2.5152 1.4522 4.3132
0.0000 -2.9043 4.3132
Pu Co Rh
2 3 1
Cartesian
0.0000 0.0000 1.5929
0.0000 0.0000 11.3466
-1.2576 -0.7261 4.3132
-1.2576 0.7261 8.6263
0.0000 1.4522 4.3132
0.0000 0.0000 6.4697
```